No. 1
Calculated powder diffractogram
Compound: Gd2CuTe2S2O14
Radiation: Cu Ka
Structure: a PBE-relaxed structure

Cell and atoms:
Lattice parameters (Å, degrees): 5.238 8.022 8.267 62.01 74.25 85.33
Space group P-1 (No. 2)
Symmetry-distinct sites (fractional):
Gd 0.071 0.251 0.018 x2
Cu 0.000 0.000 0.500 x1
Te 0.491 0.731 0.652 x2
S 0.254 0.746 0.254 x2
O 0.139 0.747 0.436 x2
O 0.146 0.585 0.244 x2
O 0.178 0.919 0.095 x2
O 0.252 0.928 0.655 x2
O 0.255 0.562 0.888 x2
O 0.269 0.187 0.259 x2
O 0.453 0.261 0.781 x2

Largest 8 diffraction maxima, in order of falling intensity, 2θ from 5° to 70°:
hkl 0 2 0, 25.2°, d 3.536, intensity 100
hkl 1 1 2, 24.5°, d 3.631, intensity 74
hkl -1 2 1, 29.8°, d 3.001, intensity 74
hkl 1 0 -1, 24.3°, d 3.661, intensity 65
hkl 0 1 1, 13.0°, d 6.829, intensity 64
hkl 1 0 2, 26.8°, d 3.328, intensity 46
hkl 1 -1 2, 34.1°, d 2.627, intensity 41
hkl 0 2 3, 34.6°, d 2.589, intensity 41



No. 2
Calculated powder diffractogram
Compound: Ba4P3
Radiation: Cu Ka
Structure: a PBE-relaxed structure

Cell and atoms:
Lattice parameters (Å, degrees): 12.701 13.498 11.376 90.00 90.00 90.00
Space group Pbam (No. 55)
Symmetry-distinct sites (fractional):
Ba 0.000 0.000 0.180 x4
Ba 0.099 0.263 0.284 x8
Ba 0.107 0.705 0.000 x4
Ba 0.120 0.875 0.500 x4
Ba 0.169 0.568 0.319 x8
Ba 0.225 0.420 0.000 x4
P 0.000 0.500 0.101 x4
P 0.034 0.422 0.500 x4
P 0.139 0.113 0.500 x4
P 0.140 0.135 0.000 x4
P 0.162 0.821 0.236 x8

Largest 8 diffraction maxima, in order of falling intensity, 2θ from 5° to 70°:
hkl 2 3 2, 28.9°, d 3.085, intensity 100
hkl 3 1 0, 22.0°, d 4.041, intensity 82
hkl 2 3 5, 47.0°, d 1.934, intensity 65
hkl 2 3 1, 25.5°, d 3.494, intensity 65
hkl 1 4 2, 31.6°, d 2.829, intensity 63
hkl 1 1 3, 25.4°, d 3.509, intensity 63
hkl 2 2 3, 30.5°, d 2.932, intensity 53
hkl 3 2 1, 26.1°, d 3.420, intensity 45



No. 3
Calculated powder diffractogram
Compound: CsCoH24C14N8
Radiation: Cu Ka
Structure: a PBE-relaxed structure

Cell and atoms:
Lattice parameters (Å, degrees): 16.488 9.549 9.538 90.00 124.59 90.00
Space group C2/m (No. 12)
Symmetry-distinct sites (fractional):
Cs 0.000 0.000 0.000 x2
Co 0.000 0.500 0.500 x2
H 0.131 0.094 0.532 x8
H 0.132 0.373 0.060 x8
H 0.151 0.373 0.266 x8
H 0.154 0.094 0.804 x8
H 0.215 0.000 0.504 x4
H 0.235 0.280 0.236 x8
H 0.244 0.500 0.020 x4
C 0.004 0.360 0.643 x8
C 0.139 0.500 0.628 x4
C 0.176 0.000 0.566 x4
C 0.187 0.372 0.198 x8
C 0.200 0.000 0.843 x4
N 0.006 0.272 0.732 x8
N 0.225 0.500 0.709 x4
N 0.249 0.500 0.246 x4

Largest 8 diffraction maxima, in order of falling intensity, 2θ from 5° to 70°:
hkl 2 0 -2, 18.6°, d 4.768, intensity 100
hkl 1 1 1, 18.5°, d 4.808, intensity 52
hkl 1 1 -1, 13.1°, d 6.761, intensity 48
hkl 2 2 -2, 26.4°, d 3.374, intensity 29
hkl 5 1 -1, 29.6°, d 3.019, intensity 27
hkl 0 4 0, 37.7°, d 2.384, intensity 16
hkl 4 0 0, 26.3°, d 3.393, intensity 15
hkl 4 2 -1, 28.8°, d 3.098, intensity 13